Structure and calculated X-ray diffraction stick pattern of LaZnFeSnO6 (DFT lattice parameters and positions (PBE+U); λ = 1.5418 Å (Cu Kα)).
Kinematic intensities with the Lorentz-polarization factor, no thermal factor.

Most intense lines, 2θ from 5° to 70°, in order of rising 2θ:
2θ 27.19, I 136; 2θ 30.29, I 184; 2θ 31.80, I 1000; 2θ 32.70, I 258; 2θ 34.52, I 192; 2θ 45.17, I 179; 2θ 46.02, I 158; 2θ 57.71, I 192

Atomic structure:
Cell: 5.477 5.902 9.588 Å, 90.00 124.64 90.00°
Positions (direct):
La1 0.000 0.187 0.000
La2 0.000 0.813 0.500
Zn1 0.495 0.141 0.495
Zn2 0.495 0.859 0.995
Fe1 0.738 0.280 0.253
Fe2 0.738 0.720 0.753
Sn1 0.226 0.281 0.744
Sn2 0.226 0.719 0.244
O1 0.079 0.053 0.301
O2 0.079 0.947 0.801
O3 0.376 0.429 0.203
O4 0.376 0.571 0.703
O5 0.470 0.069 0.692
O6 0.470 0.931 0.192
O7 0.565 0.232 0.002
O8 0.565 0.768 0.502
O9 0.846 0.222 0.496
O10 0.846 0.778 0.996
O11 0.968 0.450 0.801
O12 0.968 0.550 0.301